(1)
Diffraction record for Pu2Al9Rh3. The powder diffraction line list is calculated, not measured: it uses a cell relaxed with PBE and λ = 1.5418 Å (Cu Kα).
No peak broadening, texture or thermal motion is included.

Largest 10 diffraction maxima, low angle first, 5° ≤ 2θ ≤ 70°:
| 2θ (°) | I_rel |
| --- | --- |
| 13.9 | 395 |
| 25.2 | 936 |
| 25.4 | 462 |
| 30.1 | 1000 |
| 30.2 | 512 |
| 36.9 | 934 |
| 37.0 | 461 |
| 37.8 | 471 |
| 41.1 | 456 |
| 41.3 | 899 |

Structural model:
a = 7.5985 Å, b = 7.5985 Å, c = 10.5007 Å
α = 111.41°, β = 111.41°, γ = 59.64°
Fractional positions:
1 Pu 0.0860 0.2513 0.2492
2 Pu 0.2513 0.0860 0.7492
3 Pu 0.7487 0.9140 0.2508
4 Pu 0.9140 0.7487 0.7508
5 Al 0.0241 0.8584 0.0753
6 Al 0.1416 0.9759 0.4247
7 Al 0.1912 0.3590 0.5718
8 Al 0.2108 0.5800 0.2520
9 Al 0.3132 0.4834 0.9444
10 Al 0.3590 0.1912 0.0718
11 Al 0.3687 0.6313 0.7500
12 Al 0.4200 0.7892 0.2480
13 Al 0.4834 0.3132 0.4444
14 Al 0.5166 0.6868 0.5556
15 Al 0.5800 0.2108 0.7520
16 Al 0.6313 0.3687 0.2500
17 Al 0.6410 0.8088 0.9282
18 Al 0.6868 0.5166 0.0556
19 Al 0.7892 0.4200 0.7480
20 Al 0.8088 0.6410 0.4282
21 Al 0.8584 0.0241 0.5753
22 Al 0.9759 0.1416 0.9247
23 Rh 0.0000 0.5000 0.0000
24 Rh 0.1590 0.6707 0.4991
25 Rh 0.3293 0.8410 0.0009
26 Rh 0.5000 0.0000 0.5000
27 Rh 0.6707 0.1590 0.9991
28 Rh 0.8410 0.3293 0.5009

(2)
Diffraction record for Y5Al6. The powder diffraction line list is calculated, not measured: it uses a cell relaxed with PBE and λ = 1.5418 Å (Cu Kα).
No peak broadening, texture or thermal motion is included.

Largest 10 diffraction maxima, low angle first, 5° ≤ 2θ ≤ 70°:
| 2θ (°) | I_rel |
| --- | --- |
| 25.0 | 302 |
| 25.3 | 149 |
| 28.0 | 94 |
| 35.5 | 256 |
| 35.7 | 260 |
| 35.9 | 1000 |
| 51.2 | 174 |
| 58.0 | 88 |
| 64.0 | 172 |
| 64.3 | 174 |

Structural model:
a = 7.9945 Å, b = 7.9945 Å, c = 7.0338 Å
α = 90.00°, β = 90.00°, γ = 143.36°
Fractional positions:
1 Y 0.0000 0.0000 0.0000
2 Y 0.3315 0.6685 0.5000
3 Y 0.3346 0.6654 0.0000
4 Y 0.6654 0.3346 0.0000
5 Y 0.6685 0.3315 0.5000
6 Al 0.1554 0.8446 0.2664
7 Al 0.1554 0.8446 0.7336
8 Al 0.5000 0.5000 0.2791
9 Al 0.5000 0.5000 0.7209
10 Al 0.8446 0.1554 0.2664
11 Al 0.8446 0.1554 0.7336

(3)
Diffraction record for CsMg2O. The powder diffraction line list is calculated, not measured: it uses a cell relaxed with PBE and λ = 1.5418 Å (Cu Kα).
No peak broadening, texture or thermal motion is included.

Largest 10 diffraction maxima, low angle first, 5° ≤ 2θ ≤ 70°:
| 2θ (°) | I_rel |
| --- | --- |
| 15.9 | 263 |
| 26.1 | 1000 |
| 30.7 | 669 |
| 37.2 | 79 |
| 40.7 | 82 |
| 46.0 | 404 |
| 49.0 | 243 |
| 53.7 | 231 |
| 60.7 | 115 |
| 63.1 | 87 |

Structural model:
a = 6.8274 Å, b = 6.8274 Å, c = 9.6750 Å
α = 90.00°, β = 90.00°, γ = 90.00°
Fractional positions:
1 Cs 0.0000 0.2500 0.3750
2 Cs 0.0000 0.7500 0.6250
3 Cs 0.5000 0.2500 0.1250
4 Cs 0.5000 0.7500 0.8750
5 Mg 0.0000 0.0000 0.0000
6 Mg 0.0000 0.5000 0.0000
7 Mg 0.2500 0.2500 0.7500
8 Mg 0.2500 0.7500 0.2500
9 Mg 0.5000 0.0000 0.5000
10 Mg 0.5000 0.5000 0.5000
11 Mg 0.7500 0.2500 0.7500
12 Mg 0.7500 0.7500 0.2500
13 O 0.0000 0.2500 0.8750
14 O 0.0000 0.7500 0.1250
15 O 0.5000 0.2500 0.6250
16 O 0.5000 0.7500 0.3750

(4)
Diffraction record for AcCl2F8. The powder diffraction line list is calculated, not measured: it uses a cell relaxed with PBE and λ = 1.5418 Å (Cu Kα).
No peak broadening, texture or thermal motion is included.

Largest 10 diffraction maxima, low angle first, 5° ≤ 2θ ≤ 70°:
| 2θ (°) | I_rel |
| --- | --- |
| 11.7 | 1000 |
| 15.8 | 335 |
| 16.2 | 234 |
| 20.7 | 202 |
| 22.5 | 505 |
| 22.8 | 543 |
| 23.6 | 363 |
| 27.0 | 242 |
| 27.3 | 234 |
| 44.3 | 188 |

Structural model:
a = 4.5397 Å, b = 6.0605 Å, c = 8.1633 Å
α = 106.71°, β = 101.25°, γ = 101.20°
Fractional positions:
1 Ac 0.0000 0.0000 0.0000
2 Cl 0.3716 0.3120 0.7373
3 Cl 0.6284 0.6880 0.2627
4 F 0.0370 0.9404 0.2957
5 F 0.1987 0.4165 0.1835
6 F 0.2257 0.4168 0.5832
7 F 0.4724 0.8337 0.0706
8 F 0.5276 0.1663 0.9294
9 F 0.7743 0.5832 0.4168
10 F 0.8013 0.5835 0.8165
11 F 0.9630 0.0596 0.7043

(5)
Diffraction record for Pr3Al3Ag8. The powder diffraction line list is calculated, not measured: it uses a cell relaxed with PBE and λ = 1.5418 Å (Cu Kα).
No peak broadening, texture or thermal motion is included.

Largest 10 diffraction maxima, low angle first, 5° ≤ 2θ ≤ 70°:
| 2θ (°) | I_rel |
| --- | --- |
| 28.2 | 338 |
| 32.7 | 379 |
| 33.1 | 1000 |
| 33.5 | 701 |
| 33.8 | 287 |
| 34.8 | 378 |
| 39.0 | 564 |
| 39.6 | 236 |
| 41.6 | 200 |
| 51.8 | 199 |

Structural model:
a = 8.5521 Å, b = 8.5521 Å, c = 8.5521 Å
α = 148.68°, β = 108.22°, γ = 80.39°
Fractional positions:
1 Pr 0.0000 0.0000 0.0000
2 Pr 0.3029 0.3029 0.0000
3 Pr 0.6971 0.6971 0.0000
4 Al 0.3031 0.5000 0.8031
5 Al 0.5000 0.0000 0.5000
6 Al 0.6969 0.5000 0.1969
7 Ag 0.0212 0.6608 0.3604
8 Ag 0.1674 0.8774 0.2900
9 Ag 0.3004 0.6608 0.6396
10 Ag 0.4126 0.1226 0.2900
11 Ag 0.5874 0.8774 0.7100
12 Ag 0.6996 0.3392 0.3604
13 Ag 0.8326 0.1226 0.7100
14 Ag 0.9788 0.3392 0.6396

(6)
Diffraction record for Tm2Sc6Al. The powder diffraction line list is calculated, not measured: it uses a cell relaxed with PBE and λ = 1.5418 Å (Cu Kα).
No peak broadening, texture or thermal motion is included.

Largest 10 diffraction maxima, low angle first, 5° ≤ 2θ ≤ 70°:
| 2θ (°) | I_rel |
| --- | --- |
| 11.4 | 459 |
| 19.8 | 417 |
| 22.9 | 149 |
| 30.5 | 124 |
| 30.7 | 128 |
| 34.7 | 816 |
| 34.9 | 1000 |
| 50.1 | 351 |
| 62.2 | 138 |
| 62.3 | 355 |

Structural model:
a = 8.9553 Å, b = 8.9553 Å, c = 3.1364 Å
α = 90.00°, β = 90.00°, γ = 120.00°
Fractional positions:
1 Tm 0.3333 0.6667 0.0000
2 Tm 0.6667 0.3333 0.0000
3 Sc 0.0000 0.3236 0.5000
4 Sc 0.0000 0.6764 0.5000
5 Sc 0.3236 0.0000 0.5000
6 Sc 0.3236 0.3236 0.5000
7 Sc 0.6764 0.0000 0.5000
8 Sc 0.6764 0.6764 0.5000
9 Al 0.0000 0.0000 0.0000

(7)
Diffraction record for InHPt. The powder diffraction line list is calculated, not measured: it uses a cell relaxed with PBE and λ = 1.5418 Å (Cu Kα).
No peak broadening, texture or thermal motion is included.

Largest 9 diffraction maxima, low angle first, 5° ≤ 2θ ≤ 70°:
| 2θ (°) | I_rel |
| --- | --- |
| 22.1 | 49 |
| 29.8 | 344 |
| 37.3 | 1000 |
| 45.0 | 130 |
| 52.8 | 243 |
| 54.9 | 127 |
| 57.9 | 25 |
| 61.8 | 45 |
| 66.5 | 185 |

Structural model:
a = 3.4672 Å, b = 3.4672 Å, c = 4.0300 Å
α = 90.00°, β = 90.00°, γ = 120.00°
Fractional positions:
1 In 0.0000 0.0000 0.0000
2 H 0.3333 0.6667 0.5000
3 Pt 0.6667 0.3333 0.5000

(8)
Diffraction record for Sc. The powder diffraction line list is calculated, not measured: it uses a cell relaxed with PBE and λ = 1.5418 Å (Cu Kα).
No peak broadening, texture or thermal motion is included.

Largest 9 diffraction maxima, low angle first, 5° ≤ 2θ ≤ 70°:
| 2θ (°) | I_rel |
| --- | --- |
| 31.2 | 248 |
| 34.7 | 243 |
| 35.8 | 1000 |
| 47.4 | 140 |
| 55.5 | 166 |
| 63.0 | 164 |
| 65.1 | 25 |
| 67.2 | 177 |
| 67.8 | 128 |

Structural model:
a = 3.3107 Å, b = 3.3107 Å, c = 5.1670 Å
α = 90.00°, β = 90.00°, γ = 120.00°
Fractional positions:
1 Sc 0.3333 0.6667 0.2500
2 Sc 0.6667 0.3333 0.7500

(9)
Diffraction record for V2CrNiC. The powder diffraction line list is calculated, not measured: it uses a cell relaxed with PBE and λ = 1.5418 Å (Cu Kα).
No peak broadening, texture or thermal motion is included.

Largest 8 diffraction maxima, low angle first, 5° ≤ 2θ ≤ 70°:
| 2θ (°) | I_rel |
| --- | --- |
| 22.4 | 29 |
| 31.9 | 20 |
| 40.6 | 1000 |
| 45.8 | 411 |
| 50.0 | 154 |
| 51.6 | 5 |
| 60.6 | 5 |
| 66.7 | 118 |

Structural model:
a = 3.9641 Å, b = 3.9641 Å, c = 3.6466 Å
α = 90.00°, β = 90.00°, γ = 90.00°
Fractional positions:
1 V 0.0000 0.5000 0.0000
2 V 0.5000 0.0000 0.0000
3 Cr 0.0000 0.0000 0.5000
4 Ni 0.5000 0.5000 0.5000
5 C 0.5000 0.5000 0.0000

(10)
Diffraction record for Ac4Hg3O4. The powder diffraction line list is calculated, not measured: it uses a cell relaxed with PBE and λ = 1.5418 Å (Cu Kα).
No peak broadening, texture or thermal motion is included.

Largest 10 diffraction maxima, low angle first, 5° ≤ 2θ ≤ 70°:
| 2θ (°) | I_rel |
| --- | --- |
| 23.7 | 242 |
| 27.0 | 1000 |
| 29.9 | 484 |
| 31.1 | 472 |
| 34.8 | 163 |
| 38.2 | 152 |
| 42.0 | 280 |
| 50.6 | 173 |
| 51.1 | 298 |
| 53.2 | 216 |

Structural model:
a = 8.6049 Å, b = 8.0285 Å, c = 8.0285 Å
α = 31.08°, β = 90.00°, γ = 90.00°
Fractional positions:
1 Ac 0.0000 0.0000 0.0000
2 Ac 0.2432 0.6659 0.6659
3 Ac 0.5000 0.0093 0.0093
4 Ac 0.7568 0.6659 0.6659
5 Hg 0.0000 0.2976 0.2976
6 Hg 0.3221 0.3579 0.3579
7 Hg 0.6779 0.3579 0.3579
8 O 0.0000 0.5799 0.5799
9 O 0.2467 0.0837 0.0837
10 O 0.5000 0.5951 0.5951
11 O 0.7533 0.0837 0.0837

(11)
Diffraction record for La5Pm3In3. The powder diffraction line list is calculated, not measured: it uses a cell relaxed with PBE and λ = 1.5418 Å (Cu Kα).
No peak broadening, texture or thermal motion is included.

Largest 10 diffraction maxima, low angle first, 5° ≤ 2θ ≤ 70°:
| 2θ (°) | I_rel |
| --- | --- |
| 24.5 | 588 |
| 25.5 | 440 |
| 27.8 | 808 |
| 30.3 | 813 |
| 32.2 | 477 |
| 33.6 | 1000 |
| 35.7 | 977 |
| 41.6 | 911 |
| 48.8 | 338 |
| 63.9 | 501 |

Structural model:
a = 11.1100 Å, b = 11.1100 Å, c = 3.4877 Å
α = 90.00°, β = 90.00°, γ = 120.00°
Fractional positions:
1 La 0.0000 0.6584 0.0000
2 La 0.3333 0.6667 0.0000
3 La 0.3416 0.3416 0.0000
4 La 0.6584 0.0000 0.0000
5 La 0.6667 0.3333 0.0000
6 Pm 0.0000 0.1690 0.0000
7 Pm 0.1690 0.0000 0.0000
8 Pm 0.8310 0.8310 0.0000
9 In 0.0000 0.4116 0.5000
10 In 0.4116 0.0000 0.5000
11 In 0.5884 0.5884 0.5000

(12)
Diffraction record for Pu2Nb3Ge4. The powder diffraction line list is calculated, not measured: it uses a cell relaxed with PBE and λ = 1.5418 Å (Cu Kα).
No peak broadening, texture or thermal motion is included.

Largest 10 diffraction maxima, low angle first, 5° ≤ 2θ ≤ 70°:
| 2θ (°) | I_rel |
| --- | --- |
| 18.0 | 226 |
| 29.2 | 342 |
| 33.1 | 869 |
| 35.6 | 743 |
| 35.8 | 434 |
| 36.1 | 681 |
| 36.5 | 200 |
| 40.0 | 1000 |
| 40.1 | 447 |
| 57.5 | 193 |

Structural model:
a = 7.1930 Å, b = 7.1893 Å, c = 7.0976 Å
α = 90.00°, β = 109.89°, γ = 90.00°
Fractional positions:
1 Pu 0.1800 0.1624 0.0567
2 Pu 0.1800 0.3376 0.5567
3 Pu 0.8200 0.6624 0.4433
4 Pu 0.8200 0.8376 0.9433
5 Nb 0.2552 0.6735 0.2484
6 Nb 0.2552 0.8265 0.7484
7 Nb 0.5000 0.0000 0.5000
8 Nb 0.5000 0.5000 0.0000
9 Nb 0.7448 0.1735 0.2516
10 Nb 0.7448 0.3265 0.7516
11 Ge 0.0870 0.5395 0.8639
12 Ge 0.0870 0.9605 0.3639
13 Ge 0.4888 0.1337 0.8635
14 Ge 0.4888 0.3663 0.3635
15 Ge 0.5112 0.6337 0.6365
16 Ge 0.5112 0.8663 0.1365
17 Ge 0.9130 0.0395 0.6361
18 Ge 0.9130 0.4605 0.1361